Entry 1:
Structure and computed X-ray diffraction stick pattern of LiInSn (a crystal structure in Alexandria, relaxed with GGA-PBE; copper Kα).

Largest 10 diffraction maxima, by angle, 15 to 90 degrees two-theta:
2theta	d/Å	I (rel.)
20.43	4.347	66
20.68	4.294	57
24.76	3.595	88
32.86	2.726	91
33.57	2.670	71
33.73	2.657	100
36.83	2.440	67
37.43	2.403	64
40.99	2.202	59
41.40	2.181	40

Atomic structure:
```
6
Lattice="2.703 -4.783 0.000 2.703 4.783 0.000 -2.597 0.000 5.451" Properties=species:S:1:pos:R:3 pbc="T T T"
Li 0.000 0.000 0.000
Li 1.405 -2.480 2.726
In 2.703 1.619 0.000
In 2.703 -1.618 0.000
Sn 1.405 3.906 2.726
Sn 1.405 0.700 2.726
```


Entry 2:
Structure and computed X-ray diffraction stick pattern of Li4In8Sn (a crystal structure in Alexandria, relaxed with GGA-PBE; copper Kα).

Largest 10 diffraction maxima, by angle, 15 to 90 degrees two-theta:
2theta	d/Å	I (rel.)
20.39	4.355	57
22.52	3.948	34
32.71	2.737	68
34.89	2.572	16
36.21	2.481	100
39.30	2.293	32
39.73	2.269	32
40.66	2.219	23
57.12	1.613	21
72.44	1.305	19

Atomic structure:
```
13
Lattice="4.537 0.000 0.000 0.000 4.585 0.000 0.000 0.000 15.533" Properties=species:S:1:pos:R:3 pbc="T T T"
Li 0.000 0.000 0.000
Li 0.000 2.293 2.223
Li 2.269 0.000 6.607
Li 2.269 2.293 9.068
In 0.000 0.000 4.340
In 0.000 0.000 8.560
In 0.000 2.293 6.704
In 0.000 2.293 13.422
In 2.269 0.000 2.148
In 2.269 0.000 13.366
In 2.269 2.293 0.053
In 2.269 2.293 4.507
Sn 0.000 0.000 11.432
```


Entry 3:
Structure and computed X-ray diffraction stick pattern of Li3InSn3 (a crystal structure in Alexandria, relaxed with GGA-PBE; copper Kα).

Largest 10 diffraction maxima, by angle, 15 to 90 degrees two-theta:
2theta	d/Å	I (rel.)
26.44	3.372	100
37.67	2.388	48
37.79	2.380	38
42.41	2.131	6
46.61	1.949	22
54.43	1.686	13
61.41	1.510	20
61.58	1.506	12
68.05	1.378	22
86.47	1.125	8

Atomic structure:
```
7
Lattice="4.776 2.757 1.941 -4.776 2.757 1.941 0.000 -5.514 1.941" Properties=species:S:1:pos:R:3 pbc="T T T"
Li -2.264 -1.307 1.941
Li 2.264 -1.307 1.941
Li 0.000 2.614 1.941
In 0.000 0.000 3.431
Sn -2.405 -1.389 4.838
Sn 2.405 -1.389 4.838
Sn 0.000 2.777 4.838
```


Entry 4:
Structure and computed X-ray diffraction stick pattern of LiInSn (a crystal structure in Alexandria, relaxed with GGA-PBE; copper Kα).

Largest 10 diffraction maxima, by angle, 15 to 90 degrees two-theta:
2theta	d/Å	I (rel.)
18.60	4.770	33
24.24	3.671	40
28.40	3.143	100
31.29	2.859	55
31.86	2.809	64
36.72	2.447	38
37.69	2.387	46
42.76	2.115	47
43.20	2.094	54
47.06	1.931	36

Atomic structure:
```
6
Lattice="3.143 0.000 0.000 -0.003 6.145 0.000 -0.004 -0.182 7.342" Properties=species:S:1:pos:R:3 pbc="T T T"
Li -0.001 1.423 1.611
Li 3.137 4.541 5.732
In 1.565 4.533 0.894
In 1.570 1.430 6.448
Sn 1.569 -0.091 3.671
Sn 1.568 2.982 3.671
```


Entry 5:
Structure and computed X-ray diffraction stick pattern of Li4In5Sn2 (a crystal structure in Alexandria, relaxed with GGA-PBE; copper Kα).

Largest 10 diffraction maxima, by angle, 15 to 90 degrees two-theta:
2theta	d/Å	I (rel.)
22.26	3.994	18
23.16	3.840	44
26.47	3.367	23
28.17	3.168	100
32.71	2.738	23
33.66	2.663	38
36.78	2.444	32
39.04	2.307	20
43.70	2.072	21
44.44	2.038	33

Atomic structure:
```
11
Lattice="8.107 0.000 0.000 0.000 3.168 0.000 -1.663 0.000 9.616" Properties=species:S:1:pos:R:3 pbc="T T T"
Li 0.741 0.000 3.868
Li 0.407 0.000 8.940
Li 6.037 0.000 0.676
Li 5.703 0.000 5.747
In 0.280 1.584 6.281
In 3.622 1.584 1.563
In 3.222 1.584 4.808
In 2.823 1.584 8.053
In 6.164 1.584 3.334
Sn 0.587 1.584 1.426
Sn 5.858 1.584 8.190
```


Entry 6:
Structure and computed X-ray diffraction stick pattern of Li7In2Sn (a crystal structure in Alexandria, relaxed with GGA-PBE; copper Kα).

Largest 10 diffraction maxima, by angle, 15 to 90 degrees two-theta:
2theta	d/Å	I (rel.)
17.54	5.055	18
23.58	3.773	100
28.16	3.169	50
34.56	2.595	34
38.33	2.348	39
42.09	2.147	25
42.45	2.130	11
45.50	1.994	17
60.41	1.532	15
60.97	1.520	14

Atomic structure:
```
10
Lattice="4.696 0.000 0.000 -2.348 4.067 0.000 0.000 0.000 10.111" Properties=species:S:1:pos:R:3 pbc="T T T"
Li 0.000 0.000 0.000
Li 0.000 0.000 2.403
Li 0.000 0.000 4.866
Li 0.000 2.711 0.302
Li 0.000 2.711 6.686
Li 2.348 1.356 5.427
Li 2.348 1.356 8.591
In 0.000 0.000 7.481
In 0.000 2.711 3.607
Sn 2.348 1.356 1.527
```


Entry 7:
Structure and computed X-ray diffraction stick pattern of SrLi2In10 (a crystal structure in Alexandria, relaxed with GGA-PBE; copper Kα).

Largest 10 diffraction maxima, by angle, 15 to 90 degrees two-theta:
2theta	d/Å	I (rel.)
27.13	3.287	26
29.38	3.040	92
33.40	2.683	73
34.04	2.634	100
34.65	2.589	52
37.82	2.378	62
38.58	2.333	61
58.45	1.579	22
60.94	1.520	36
62.08	1.495	19

Atomic structure:
```
13
Lattice="0.000 7.283 7.639 3.038 0.000 7.639 3.038 7.283 0.000" Properties=species:S:1:pos:R:3 pbc="T T T"
Sr 0.000 0.000 0.000
Li 1.519 0.000 3.819
Li 1.519 7.283 3.819
In 1.519 3.642 0.000
In 3.038 4.818 2.783
In 3.038 5.751 5.894
In 3.038 9.748 2.783
In 3.038 8.815 5.894
In 1.519 3.642 7.639
In 3.038 5.751 9.383
In 3.038 4.818 12.495
In 3.038 8.815 9.383
In 3.038 9.748 12.495
```


Entry 8:
Structure and computed X-ray diffraction stick pattern of Sr2Li17In3 (a crystal structure in Alexandria, relaxed with GGA-PBE; copper Kα).

Largest 10 diffraction maxima, by angle, 15 to 90 degrees two-theta:
2theta	d/Å	I (rel.)
17.56	5.050	100
19.38	4.580	70
21.91	4.057	35
25.23	3.530	43
27.23	3.275	48
30.04	2.974	33
32.27	2.774	86
36.97	2.431	79
38.70	2.327	26
48.77	1.867	43

Atomic structure:
```
22
Lattice="5.548 3.203 5.050 -5.548 3.203 5.050 0.000 -6.407 5.050" Properties=species:S:1:pos:R:3 pbc="T T T"
Sr 0.000 0.000 2.759
Sr 0.000 0.000 12.390
Li -2.774 -1.602 5.050
Li 0.000 -3.452 5.297
Li -2.990 1.726 5.297
Li -1.416 -2.452 7.574
Li -2.832 0.000 7.574
Li -2.990 -1.726 9.852
Li 0.000 0.000 6.212
Li -2.774 1.602 10.099
Li 1.416 -2.452 7.574
Li 0.000 3.203 5.050
Li -1.416 2.452 7.574
Li 0.000 0.000 8.936
Li 2.990 1.726 5.297
Li 2.832 0.000 7.574
Li 1.416 2.452 7.574
Li 2.990 -1.726 9.852
Li 0.000 3.452 9.852
In -5.548 0.000 7.574
In -2.774 1.602 2.525
In 2.774 1.602 2.525
```